MgCdH2Cl2O2: theoretical XRD peak list (Cu Kα), based on a DFT-relaxed cell (GGA-PBE, OQMD).
Peak positions follow from Bragg's law for the DFT cell and can differ from measured ones.

The 6 most intense peaks (2θ from 15° to 90°), in order of rising 2θ:
- 2θ 16.98, I 69.3
- 2θ 29.25, I 34.3
- 2θ 30.50, I 71.2
- 2θ 34.01, I 54.8
- 2θ 39.25, I 100.0
- 2θ 51.87, I 35.2

Structural model:
abc: 3.525 3.525 10.445
angles: 90.00 90.00 120.00
Fractional positions:
Mg 0.000 0.000 0.000
Cd 0.333 0.667 0.494
H 0.667 0.333 0.163
H 0.667 0.333 0.677
Cl 0.000 0.000 0.326
Cl 0.333 0.667 0.847
O 0.667 0.333 0.069
O 0.667 0.333 0.583

***

Cd2H3ClO3: theoretical XRD peak list (Cu Kα), based on a DFT-relaxed cell (GGA-PBE, OQMD).
Peak positions follow from Bragg's law for the DFT cell and can differ from measured ones.

The 6 most intense peaks (2θ from 15° to 90°), in order of rising 2θ:
- 2θ 15.89, I 99.2
- 2θ 29.00, I 100.0
- 2θ 30.20, I 63.6
- 2θ 36.01, I 72.9
- 2θ 36.39, I 42.2
- 2θ 52.13, I 44.8

Structural model:
abc: 6.757 7.395 9.874
angles: 90.00 90.00 90.00
Fractional positions:
Cd 0.000 0.000 0.000
Cd 0.000 0.500 0.000
Cd 0.185 0.250 0.268
Cd 0.315 0.750 0.768
Cd 0.500 0.000 0.500
Cd 0.500 0.500 0.500
Cd 0.685 0.250 0.232
Cd 0.815 0.750 0.732
H 0.082 0.055 0.718
H 0.082 0.445 0.718
H 0.180 0.750 0.490
H 0.320 0.250 0.990
H 0.418 0.555 0.218
H 0.418 0.945 0.218
H 0.582 0.055 0.782
H 0.582 0.445 0.782
H 0.680 0.750 0.010
H 0.820 0.250 0.510
H 0.918 0.555 0.282
H 0.918 0.945 0.282
Cl 0.184 0.250 0.544
Cl 0.316 0.750 0.044
Cl 0.684 0.250 0.956
Cl 0.816 0.750 0.456
O 0.060 0.548 0.779
O 0.060 0.952 0.779
O 0.186 0.250 0.029
O 0.314 0.750 0.529
O 0.440 0.048 0.279
O 0.440 0.452 0.279
O 0.560 0.548 0.721
O 0.560 0.952 0.721
O 0.686 0.250 0.471
O 0.814 0.750 0.971
O 0.940 0.048 0.221
O 0.940 0.452 0.221

***

CdSnH2Cl2O2: theoretical XRD peak list (Cu Kα), based on a DFT-relaxed cell (GGA-PBE, OQMD).
Peak positions follow from Bragg's law for the DFT cell and can differ from measured ones.

The 6 most intense peaks (2θ from 15° to 90°), in order of rising 2θ:
- 2θ 17.40, I 64.1
- 2θ 26.84, I 22.1
- 2θ 28.26, I 100.0
- 2θ 37.88, I 90.0
- 2θ 47.41, I 38.7
- 2θ 50.87, I 24.7

Structural model:
abc: 3.836 3.836 10.192
angles: 90.00 90.00 120.00
Fractional positions:
Cd 0.000 0.000 0.000
Sn 0.667 0.333 0.499
H 0.333 0.667 0.163
H 0.333 0.667 0.686
Cl 0.000 0.000 0.305
Cl 0.667 0.333 0.832
O 0.333 0.667 0.067
O 0.333 0.667 0.589

***

SrCdH2Cl2O2: theoretical XRD peak list (Cu Kα), based on a DFT-relaxed cell (GGA-PBE, OQMD).
Peak positions follow from Bragg's law for the DFT cell and can differ from measured ones.

The 6 most intense peaks (2θ from 15° to 90°), in order of rising 2θ:
- 2θ 17.46, I 64.4
- 2θ 26.52, I 23.7
- 2θ 27.96, I 100.0
- 2θ 37.71, I 97.1
- 2θ 46.81, I 43.0
- 2θ 50.33, I 24.6

Structural model:
abc: 3.882 3.882 10.156
angles: 90.00 90.00 120.00
Fractional positions:
Sr 0.000 0.000 0.000
Cd 0.333 0.667 0.499
H 0.667 0.333 0.182
H 0.667 0.333 0.661
Cl 0.000 0.000 0.334
Cl 0.333 0.667 0.810
O 0.667 0.333 0.085
O 0.667 0.333 0.565

***

CdIClO3: theoretical XRD peak list (Cu Kα), based on a DFT-relaxed cell (GGA-PBE, OQMD).
Peak positions follow from Bragg's law for the DFT cell and can differ from measured ones.

The 6 most intense peaks (2θ from 15° to 90°), in order of rising 2θ:
- 2θ 22.33, I 46.0
- 2θ 24.67, I 61.8
- 2θ 29.84, I 100.0
- 2θ 35.79, I 31.4
- 2θ 44.15, I 27.6
- 2θ 46.78, I 41.1

Structural model:
abc: 8.746 8.746 7.216
angles: 90.00 90.00 131.19
Fractional positions:
Cd 0.146 0.354 0.250
Cd 0.354 0.146 0.750
Cd 0.646 0.854 0.250
Cd 0.854 0.646 0.750
I 0.100 0.900 0.268
I 0.400 0.600 0.768
I 0.600 0.400 0.232
I 0.900 0.100 0.732
Cl 0.213 0.787 0.839
Cl 0.287 0.713 0.339
Cl 0.713 0.287 0.661
Cl 0.787 0.213 0.161
O 0.014 0.986 0.784
O 0.095 0.294 0.567
O 0.206 0.405 0.933
O 0.294 0.095 0.433
O 0.405 0.206 0.067
O 0.486 0.514 0.284
O 0.514 0.486 0.716
O 0.595 0.794 0.933
O 0.706 0.905 0.567
O 0.794 0.595 0.067
O 0.905 0.706 0.433
O 0.986 0.014 0.216

***

CdMoCl2: theoretical XRD peak list (Cu Kα), based on a DFT-relaxed cell (GGA-PBE, OQMD).
Peak positions follow from Bragg's law for the DFT cell and can differ from measured ones.

The 6 most intense peaks (2θ from 15° to 90°), in order of rising 2θ:
- 2θ 17.97, I 45.1
- 2θ 33.55, I 33.5
- 2θ 34.80, I 100.0
- 2θ 36.40, I 29.6
- 2θ 43.65, I 37.1
- 2θ 58.10, I 28.1

Structural model:
abc: 3.084 3.084 9.872
angles: 90.00 90.00 120.00
Fractional positions:
Cd 0.000 0.000 0.000
Mo 0.333 0.667 0.500
Cl 0.333 0.667 0.271
Cl 0.333 0.667 0.729

***

Tl2CdNiCl6: theoretical XRD peak list (Cu Kα), based on a DFT-relaxed cell (GGA-PBE, OQMD).
Peak positions follow from Bragg's law for the DFT cell and can differ from measured ones.

The 6 most intense peaks (2θ from 15° to 90°), in order of rising 2θ:
- 2θ 25.10, I 100.0
- 2θ 30.86, I 29.2
- 2θ 35.79, I 48.9
- 2θ 44.21, I 45.3
- 2θ 51.51, I 33.0
- 2θ 70.17, I 23.6

Structural model:
abc: 7.097 7.097 7.097
angles: 60.00 60.00 60.00
Fractional positions:
Tl 0.250 0.250 0.250
Tl 0.750 0.750 0.750
Cd 0.000 0.000 0.000
Ni 0.500 0.500 0.500
Cl 0.261 0.261 0.739
Cl 0.261 0.739 0.261
Cl 0.261 0.739 0.739
Cl 0.739 0.261 0.261
Cl 0.739 0.261 0.739
Cl 0.739 0.739 0.261